Record 1
Computed powder X-ray diffraction pattern of DyTm3As4 for Cu Kα (weighted mean of Kα1 and Kα2), from the GGA-PBE geometry in Alexandria.

Crystal structure
Lattice parameters (Å, degrees): 5.7626 5.7626 5.7626 90.00 90.00 90.00
Space group Pm-3m (No. 221)
Unique sites:
Dy: 0.0000 0.0000 0.0000 [1 per cell]
Tm: 0.0000 0.5000 0.5000 [3 per cell]
As: 0.0000 0.0000 0.5000 [3 per cell]
As: 0.5000 0.5000 0.5000 [1 per cell]

Largest 8 diffraction maxima, in order of rising 2θ, 10 to 80 degrees two-theta:
- 26.8°, intensity 25
- 31.0°, intensity 100
- 44.5°, intensity 74
- 52.7°, intensity 12
- 55.2°, intensity 26
- 64.7°, intensity 12
- 71.3°, intensity 5
- 73.5°, intensity 34



Record 2
Computed powder X-ray diffraction pattern of Dy3Tm5As8 for Cu Kα (weighted mean of Kα1 and Kα2), from the GGA-PBE geometry in Alexandria.

Crystal structure
Lattice parameters (Å, degrees): 8.1670 8.1670 20.0036 90.00 90.00 120.00
Space group R-3m (No. 166, hexagonal axes)
Unique sites:
Dy: 0.0000 0.5000 0.0000 [9 per cell]
Tm: 0.0000 0.0000 0.0000 [3 per cell]
Tm: 0.0000 0.0000 0.5000 [3 per cell]
Tm: 0.0000 0.5000 0.5000 [9 per cell]
As: 0.0000 0.0000 0.2488 [6 per cell]
As: 0.0016 0.5008 0.7508 [18 per cell]

Largest 8 diffraction maxima, in order of rising 2θ, 10 to 80 degrees two-theta:
- 26.7°, intensity 25
- 31.0°, intensity 100
- 44.4°, intensity 74
- 52.6°, intensity 12
- 55.1°, intensity 26
- 64.6°, intensity 12
- 71.2°, intensity 5
- 73.3°, intensity 34



Record 3
Computed powder X-ray diffraction pattern of DyU3As4 for Cu Kα (weighted mean of Kα1 and Kα2), from the GGA-PBE geometry in Alexandria.

Crystal structure
Lattice parameters (Å, degrees): 8.2737 11.5824 4.0525 90.00 90.00 90.00
Space group Cmmm (No. 65)
Unique sites:
Dy: 0.0000 0.0000 0.0000 [2 per cell]
U: 0.0000 0.5000 0.0000 [2 per cell]
U: 0.2500 0.2500 0.5000 [4 per cell]
As: 0.0000 0.2496 0.0000 [4 per cell]
As: 0.2493 0.5000 0.5000 [4 per cell]

Largest 10 diffraction maxima, in order of rising 2θ, 10 to 80 degrees two-theta:
- 26.5°, intensity 20
- 26.9°, intensity 20
- 30.9°, intensity 100
- 43.8°, intensity 13
- 44.2°, intensity 50
- 44.7°, intensity 12
- 54.5°, intensity 14
- 55.3°, intensity 13
- 64.4°, intensity 13
- 73.1°, intensity 24



Record 4
Computed powder X-ray diffraction pattern of Dy4ZrAs5 for Cu Kα (weighted mean of Kα1 and Kα2), from the GGA-PBE geometry in Alexandria.

Crystal structure
Lattice parameters (Å, degrees): 9.0725 9.0725 5.7484 90.00 90.00 90.00
Space group I4/m (No. 87)
Unique sites:
Dy: 0.0972 0.6995 0.0000 [8 per cell]
Zr: 0.0000 0.0000 0.5000 [2 per cell]
As: 0.0000 0.0000 0.0000 [2 per cell]
As: 0.0980 0.7082 0.5000 [8 per cell]

Largest 10 diffraction maxima, in order of rising 2θ, 10 to 80 degrees two-theta:
- 26.9°, intensity 19
- 31.2°, intensity 100
- 44.6°, intensity 74
- 52.9°, intensity 9
- 55.4°, intensity 26
- 64.9°, intensity 4
- 65.0°, intensity 8
- 71.6°, intensity 4
- 73.8°, intensity 22
- 73.9°, intensity 11



Record 5
Computed powder X-ray diffraction pattern of Dy2ZrAs3 for Cu Kα (weighted mean of Kα1 and Kα2), from the GGA-PBE geometry in Alexandria.

Crystal structure
Lattice parameters (Å, degrees): 4.0315 4.0315 17.0516 90.00 90.00 90.00
Space group I4/mmm (No. 139)
Unique sites:
Dy: 0.0000 0.0000 0.1669 [4 per cell]
Zr: 0.0000 0.0000 0.5000 [2 per cell]
As: 0.0000 0.0000 0.0000 [2 per cell]
As: 0.0000 0.0000 0.3375 [4 per cell]

Largest 10 diffraction maxima, in order of rising 2θ, 10 to 80 degrees two-theta:
- 10.4°, intensity 3
- 27.1°, intensity 15
- 31.4°, intensity 100
- 45.0°, intensity 73
- 53.3°, intensity 5
- 55.9°, intensity 26
- 65.5°, intensity 8
- 65.7°, intensity 4
- 74.4°, intensity 22
- 74.6°, intensity 11



Record 6
Computed powder X-ray diffraction pattern of Er4As3 for Cu Kα (weighted mean of Kα1 and Kα2), from the GGA-PBE geometry in Alexandria.

Crystal structure
Lattice parameters (Å, degrees): 4.0542 4.0542 38.2686 90.00 90.00 120.00
Space group R-3m (No. 166, hexagonal axes)
Unique sites:
Er: 0.0000 0.0000 0.1244 [6 per cell]
Er: 0.0000 0.0000 0.3726 [6 per cell]
As: 0.0000 0.0000 0.2540 [6 per cell]
As: 0.0000 0.0000 0.5000 [3 per cell]

Largest 10 diffraction maxima, in order of rising 2θ, 10 to 80 degrees two-theta:
- 27.1°, intensity 34
- 28.0°, intensity 13
- 31.6°, intensity 100
- 44.7°, intensity 39
- 45.9°, intensity 34
- 53.6°, intensity 11
- 55.8°, intensity 20
- 66.0°, intensity 12
- 74.2°, intensity 17
- 75.9°, intensity 15



Record 7
Computed powder X-ray diffraction pattern of Er5Ga2As for Cu Kα (weighted mean of Kα1 and Kα2), from the GGA-PBE geometry in Alexandria.

Crystal structure
Lattice parameters (Å, degrees): 6.4117 14.6352 8.4426 90.00 90.00 90.00
Space group Amm2 (No. 38)
Unique sites:
Er: 0.0000 0.0000 0.0000 [2 per cell]
Er: 0.0000 0.1193 0.6405 [4 per cell]
Er: 0.2460 0.1673 0.2589 [8 per cell]
Er: 0.5000 0.0000 0.5189 [2 per cell]
Er: 0.5000 0.1195 0.8846 [4 per cell]
Ga: 0.0000 0.0000 0.3597 [2 per cell]
Ga: 0.0000 0.1995 0.9579 [4 per cell]
Ga: 0.5000 0.0000 0.1617 [2 per cell]
As: 0.5000 0.1960 0.5643 [4 per cell]

Largest 10 diffraction maxima, in order of rising 2θ, 10 to 80 degrees two-theta:
- 24.3°, intensity 15
- 30.4°, intensity 35
- 32.4°, intensity 42
- 35.1°, intensity 85
- 35.4°, intensity 100
- 36.9°, intensity 36
- 51.8°, intensity 23
- 54.2°, intensity 29
- 57.8°, intensity 16
- 58.1°, intensity 22



Record 8
Computed powder X-ray diffraction pattern of Er2Ge2AsRh5 for Cu Kα (weighted mean of Kα1 and Kα2), from the GGA-PBE geometry in Alexandria.

Crystal structure
Lattice parameters (Å, degrees): 9.7180 9.7180 3.5775 90.00 90.00 90.00
Space group P4/mbm (No. 127)
Unique sites:
Er: 0.1744 0.3256 0.0000 [4 per cell]
Ge: 0.1244 0.6244 0.0000 [4 per cell]
As: 0.0000 0.0000 0.0000 [2 per cell]
Rh: 0.0000 0.5000 0.5000 [2 per cell]
Rh: 0.0665 0.7934 0.5000 [8 per cell]

Largest 10 diffraction maxima, in order of rising 2θ, 10 to 80 degrees two-theta:
- 32.4°, intensity 33
- 36.3°, intensity 23
- 38.2°, intensity 57
- 38.6°, intensity 100
- 39.3°, intensity 23
- 41.6°, intensity 15
- 42.0°, intensity 36
- 45.1°, intensity 15
- 51.1°, intensity 23
- 65.5°, intensity 23



Record 9
Computed powder X-ray diffraction pattern of Er2AsH for Cu Kα (weighted mean of Kα1 and Kα2), from the GGA-PBE geometry in Alexandria.

Crystal structure
Lattice parameters (Å, degrees): 3.9007 3.9007 6.2880 90.00 90.00 120.00
Space group P3m1 (No. 156)
Unique sites:
Er: 0.0000 0.0000 0.0000 [1 per cell]
Er: 0.3333 0.6667 0.5392 [1 per cell]
As: 0.6667 0.3333 0.2732 [1 per cell]
H: 0.3333 0.6667 0.8926 [1 per cell]

Largest 10 diffraction maxima, in order of rising 2θ, 10 to 80 degrees two-theta:
- 28.4°, intensity 13
- 30.0°, intensity 100
- 39.1°, intensity 33
- 46.6°, intensity 28
- 51.3°, intensity 18
- 55.4°, intensity 12
- 56.4°, intensity 17
- 62.4°, intensity 9
- 76.1°, intensity 14
- 78.1°, intensity 10



Record 10
Computed powder X-ray diffraction pattern of Er6As2HSe3 for Cu Kα (weighted mean of Kα1 and Kα2), from the GGA-PBE geometry in Alexandria.

Crystal structure
Lattice parameters (Å, degrees): 17.3106 4.0166 8.0305 90.00 104.78 90.00
Space group C2/m (No. 12)
Unique sites:
Er: 0.0028 0.0000 0.2591 [4 per cell]
Er: 0.1483 0.5000 0.5777 [4 per cell]
Er: 0.1696 0.5000 0.0778 [4 per cell]
As: 0.1629 0.0000 0.8292 [4 per cell]
H: 0.0000 0.5000 0.5000 [2 per cell]
Se: 0.0000 0.5000 0.0000 [2 per cell]
Se: 0.1748 0.0000 0.3378 [4 per cell]

Largest 10 diffraction maxima, in order of rising 2θ, 10 to 80 degrees two-theta:
- 27.1°, intensity 12
- 27.4°, intensity 25
- 27.7°, intensity 12
- 31.5°, intensity 100
- 32.1°, intensity 42
- 45.2°, intensity 69
- 46.0°, intensity 31
- 56.5°, intensity 17
- 65.8°, intensity 12
- 74.8°, intensity 16



Record 11
Computed powder X-ray diffraction pattern of TbEr2HfAs4 for Cu Kα (weighted mean of Kα1 and Kα2), from the GGA-PBE geometry in Alexandria.

Crystal structure
Lattice parameters (Å, degrees): 6.9627 4.0182 6.9674 90.00 109.27 90.00
Space group P2/m (No. 10)
Unique sites:
Tb: 0.0000 0.0000 0.0000 [1 per cell]
Er: 0.5000 0.0000 0.5000 [1 per cell]
Er: 0.5000 0.5000 0.0000 [1 per cell]
Hf: 0.0000 0.5000 0.5000 [1 per cell]
As: 0.2403 0.0000 0.7378 [2 per cell]
As: 0.2467 0.5000 0.2584 [2 per cell]

Largest 10 diffraction maxima, in order of rising 2θ, 10 to 80 degrees two-theta:
- 27.2°, intensity 25
- 31.5°, intensity 100
- 45.0°, intensity 12
- 45.1°, intensity 62
- 53.5°, intensity 8
- 55.9°, intensity 13
- 56.1°, intensity 13
- 65.6°, intensity 8
- 74.6°, intensity 17
- 74.7°, intensity 11



Record 12
Computed powder X-ray diffraction pattern of HoErSc2As4 for Cu Kα (weighted mean of Kα1 and Kα2), from the GGA-PBE geometry in Alexandria.

Crystal structure
Lattice parameters (Å, degrees): 6.8962 3.9919 6.9091 90.00 109.51 90.00
Space group P2/m (No. 10)
Unique sites:
Ho: 0.0000 0.0000 0.0000 [1 per cell]
Er: 0.0000 0.5000 0.5000 [1 per cell]
Sc: 0.5000 0.0000 0.5000 [1 per cell]
Sc: 0.5000 0.5000 0.0000 [1 per cell]
As: 0.2630 0.0000 0.7538 [2 per cell]
As: 0.2633 0.5000 0.2550 [2 per cell]

Largest 10 diffraction maxima, in order of rising 2θ, 10 to 80 degrees two-theta:
- 13.6°, intensity 20
- 26.2°, intensity 18
- 31.7°, intensity 100
- 34.7°, intensity 12
- 45.5°, intensity 60
- 45.5°, intensity 12
- 56.5°, intensity 19
- 66.3°, intensity 11
- 75.3°, intensity 16
- 75.4°, intensity 15



Record 13
Computed powder X-ray diffraction pattern of K2ErAsS4 for Cu Kα (weighted mean of Kα1 and Kα2), from the GGA-PBE geometry in Alexandria.

Crystal structure
Lattice parameters (Å, degrees): 8.1716 8.2299 11.5985 90.00 90.00 90.00
Space group Imma (No. 74)
Unique sites:
K: 0.0000 0.0000 0.0000 [4 per cell]
K: 0.2500 0.2500 0.2500 [4 per cell]
Er: 0.0000 0.0000 0.5000 [4 per cell]
As: 0.2500 0.2500 0.7500 [4 per cell]
S: 0.0000 0.0381 0.7360 [8 per cell]
S: 0.2217 0.2500 0.5200 [8 per cell]

Largest 10 diffraction maxima, in order of rising 2θ, 10 to 80 degrees two-theta:
- 13.2°, intensity 58
- 25.4°, intensity 22
- 26.6°, intensity 19
- 26.7°, intensity 18
- 30.8°, intensity 100
- 40.5°, intensity 14
- 44.2°, intensity 45
- 44.3°, intensity 11
- 52.2°, intensity 12
- 73.0°, intensity 17